No. 1
The following is a theoretical X-ray diffraction stick pattern of DyHo2TmSb4. It was derived from a structure optimized by DFT (PBE), using CuKα.
Intensities are scaled so that the largest is 100.

Top 9 peaks for 10 to 80 degrees two-theta, sorted by position:
2theta  Rel. int.
24.99  4
28.93  100
41.38  76
48.95  2
51.28  27
59.95  13
65.98  1
67.92  35
75.46  26

Crystal structure
```
DyHo2TmSb4
1.0
7.556 0.000 0.000
0.000 4.366 0.000
-2.519 0.000 7.126
Dy Ho Tm Sb
1 2 1 4
direct
0.000 0.000 0.000 Dy
0.500 0.000 0.500 Ho
0.500 0.500 0.000 Ho
0.000 0.500 0.500 Tm
0.249 0.000 0.748 Sb
0.250 0.500 0.251 Sb
0.750 0.500 0.749 Sb
0.751 0.000 0.252 Sb
```


No. 2
The following is a theoretical X-ray diffraction stick pattern of Ce2SmOs2. It was derived from a structure optimized by DFT (PBE), using CuKα.
Intensities are scaled so that the largest is 100.

Top 10 peaks for 10 to 80 degrees two-theta, sorted by position:
2theta  Rel. int.
22.65  39
30.73  41
32.15  72
33.42  32
35.09  100
37.56  58
39.19  30
42.77  55
43.06  37
58.36  24

Crystal structure
```
Ce2SmOs2
1.0
6.046 -2.114 0.000
6.046 2.114 0.000
-4.980 0.000 9.370
Ce Sm Os
4 2 4
direct
0.048 0.048 0.208 Ce
0.178 0.178 0.586 Ce
0.822 0.822 0.414 Ce
0.952 0.952 0.792 Ce
0.304 0.304 0.142 Sm
0.696 0.696 0.858 Sm
0.380 0.380 0.911 Os
0.441 0.441 0.581 Os
0.559 0.559 0.419 Os
0.620 0.620 0.089 Os
```


No. 3
The following is a theoretical X-ray diffraction stick pattern of SrSmB12. It was derived from a structure optimized by DFT (PBE), using CuKα.
Intensities are scaled so that the largest is 100.

Top 10 peaks for 10 to 80 degrees two-theta, sorted by position:
2theta  Rel. int.
18.50  13
21.39  56
30.43  100
37.50  43
43.58  22
49.04  49
54.08  25
67.66  29
71.87  20
75.98  12

Crystal structure
```
SrSmB12
1.0
0.000 4.154 4.154
4.154 0.000 4.154
4.154 4.154 0.000
Sr Sm B
1 1 12
direct
0.000 0.000 0.000 Sr
0.500 0.500 0.500 Sm
0.100 0.100 0.400 B
0.100 0.400 0.100 B
0.100 0.400 0.400 B
0.400 0.100 0.100 B
0.400 0.100 0.400 B
0.400 0.400 0.100 B
0.600 0.600 0.900 B
0.600 0.900 0.600 B
0.600 0.900 0.900 B
0.900 0.600 0.600 B
0.900 0.600 0.900 B
0.900 0.900 0.600 B
```


No. 4
The following is a theoretical X-ray diffraction stick pattern of BaNaB9O15. It was derived from a structure optimized by DFT (PBE), using CuKα.
Intensities are scaled so that the largest is 100.

Top 10 peaks for 10 to 80 degrees two-theta, sorted by position:
2theta  Rel. int.
13.53  100
15.69  33
21.84  38
22.14  60
26.14  93
27.29  53
31.62  68
34.44  20
38.99  28
42.31  63

Crystal structure
```
BaNaB9O15
1.0
5.649 3.261 5.870
-5.649 3.261 5.870
0.000 -6.523 5.870
Ba Na B O
2 2 18 30
direct
0.000 0.000 0.000 Ba
0.500 0.500 0.500 Ba
0.227 0.227 0.227 Na
0.727 0.727 0.727 Na
0.123 0.777 0.629 B
0.129 0.277 0.623 B
0.221 0.788 0.344 B
0.277 0.623 0.129 B
0.288 0.721 0.844 B
0.298 0.440 0.945 B
0.344 0.221 0.788 B
0.440 0.945 0.298 B
0.445 0.940 0.798 B
0.623 0.129 0.277 B
0.629 0.123 0.777 B
0.721 0.844 0.288 B
0.777 0.629 0.123 B
0.788 0.344 0.221 B
0.798 0.445 0.940 B
0.844 0.288 0.721 B
0.940 0.798 0.445 B
0.945 0.298 0.440 B
0.011 0.247 0.743 O
0.056 0.823 0.321 O
0.099 0.290 0.469 O
0.146 0.795 0.774 O
0.243 0.747 0.511 O
0.247 0.743 0.011 O
0.274 0.295 0.646 O
0.279 0.292 0.931 O
0.290 0.469 0.099 O
0.292 0.931 0.279 O
0.295 0.646 0.274 O
0.321 0.056 0.823 O
0.323 0.556 0.821 O
0.431 0.792 0.779 O
0.469 0.099 0.290 O
0.511 0.243 0.747 O
0.556 0.821 0.323 O
0.599 0.969 0.790 O
0.646 0.274 0.295 O
0.743 0.011 0.247 O
0.747 0.511 0.243 O
0.774 0.146 0.795 O
0.779 0.431 0.792 O
0.790 0.599 0.969 O
0.792 0.779 0.431 O
0.795 0.774 0.146 O
0.821 0.323 0.556 O
0.823 0.321 0.056 O
0.931 0.279 0.292 O
0.969 0.790 0.599 O
```


No. 5
The following is a theoretical X-ray diffraction stick pattern of ZnSnGe3. It was derived from a structure optimized by DFT (PBE), using CuKα.
Intensities are scaled so that the largest is 100.

Top 10 peaks for 10 to 80 degrees two-theta, sorted by position:
2theta  Rel. int.
25.75  39
31.67  86
36.73  100
45.40  18
52.92  69
59.76  8
63.00  36
66.15  23
72.23  9
78.12  11

Crystal structure
```
ZnSnGe3
1.0
4.894 0.000 0.000
0.000 4.894 0.000
0.000 0.000 4.894
Zn Sn Ge
1 1 3
direct
0.000 0.000 0.000 Zn
0.500 0.500 0.500 Sn
0.000 0.000 0.500 Ge
0.000 0.500 0.000 Ge
0.500 0.000 0.000 Ge
```


No. 6
The following is a theoretical X-ray diffraction stick pattern of Ti3Se4S2. It was derived from a structure optimized by DFT (PBE), using CuKα.
Intensities are scaled so that the largest is 100.

Top 10 peaks for 10 to 80 degrees two-theta, sorted by position:
2theta  Rel. int.
12.55  100
25.26  24
29.97  64
30.28  37
34.54  29
36.88  84
42.60  52
45.87  50
53.22  47
77.51  21

Crystal structure
```
Ti3Se4S2
1.0
3.442 0.000 0.000
-1.721 2.981 0.000
0.000 0.000 21.155
Ti Se S
3 4 2
direct
0.000 0.000 0.000 Ti
0.000 0.000 0.344 Ti
0.667 0.333 0.679 Ti
0.000 0.000 0.602 Se
0.000 0.000 0.756 Se
0.667 0.333 0.267 Se
0.667 0.333 0.421 Se
0.667 0.333 0.070 S
0.667 0.333 0.930 S
```


No. 7
The following is a theoretical X-ray diffraction stick pattern of Pr2Sm2Er3. It was derived from a structure optimized by DFT (PBE), using CuKα.
Intensities are scaled so that the largest is 100.

Top 10 peaks for 10 to 80 degrees two-theta, sorted by position:
2theta  Rel. int.
30.41  100
35.20  34
35.37  17
50.63  12
50.75  24
60.18  22
60.28  7
60.43  14
63.26  12
74.33  2

Crystal structure
```
Pr2Sm2Er3
1.0
5.676 -2.552 0.000
5.676 2.552 0.000
-1.151 0.000 7.975
Pr Sm Er
2 2 3
direct
0.213 0.213 0.145 Pr
0.787 0.787 0.855 Pr
0.072 0.072 0.711 Sm
0.928 0.928 0.289 Sm
0.358 0.358 0.572 Er
0.500 0.500 0.000 Er
0.642 0.642 0.428 Er
```


No. 8
The following is a theoretical X-ray diffraction stick pattern of LiCu2Ni. It was derived from a structure optimized by DFT (PBE), using CuKα.
Intensities are scaled so that the largest is 100.

Top 10 peaks for 10 to 80 degrees two-theta, sorted by position:
2theta  Rel. int.
10.46  100
21.01  21
41.21  8
41.69  11
42.78  31
43.57  90
48.42  8
50.51  56
73.67  16
74.79  16

Crystal structure
```
LiCu2Ni
1.0
1.269 0.733 8.456
-1.269 0.733 8.456
0.000 -1.466 8.456
Li Cu Ni
1 2 1
direct
0.000 0.000 0.000 Li
0.248 0.248 0.248 Cu
0.752 0.752 0.752 Cu
0.500 0.500 0.500 Ni
```